# V2Cu3H6O11
Calculated XRD peak list, Cu Kα (weighted mean of Kα1 and Kα2). Input: a DFT-relaxed cell (GGA+U, Alexandria).
Intensities are scaled so that the largest is 100.

Largest 10 diffraction maxima, by intensity, 2θ from 10° to 90°:
2θ (°)  I (rel.)
12.3  100
37.8  21
34.8  19
32.6  18
29.4  18
27.8  16
59.6  16
31.2  13
33.4  12
61.0  9

Structure:
```
V2Cu3H6O11
1.0
5.5368 -2.9187 0.0000
5.5368 2.9187 0.0000
-0.9473 0.0000 7.1925
V Cu H O
2 3 6 11
Direct
0.0048 0.0048 0.2480
0.9952 0.9952 0.7520
0.0004 0.4978 0.5001
0.5014 0.4986 0.5000
0.5022 0.9996 0.4999
0.2789 0.4646 0.0840
0.3452 0.3588 0.7561
0.4225 0.1724 0.0201
0.5354 0.7211 0.9160
0.6412 0.6548 0.2439
0.8276 0.5775 0.9799
0.1627 0.1589 0.3561
0.1768 0.6863 0.3026
0.2978 0.3456 0.9748
0.3137 0.8232 0.6974
0.3475 0.3481 0.6153
0.6519 0.6525 0.3847
0.6544 0.7022 0.0252
0.6975 0.1625 0.3168
0.8375 0.3025 0.6832
0.8411 0.8373 0.6439
0.9909 0.0091 0.0000
```